Diffraction record for Ho4Fe5Si3. The powder diffraction line list is computed, not measured: it uses a DFT-relaxed cell (PBE, the Materials Project) and copper Kα.
Lines closer than 0.1° are merged.

Top 6 peaks for 2θ = 10–90°, low angle first:
(hkl)	2θ/deg	I/Imax
1 0 2	26.00	100
1 1 0	31.40	47
1 1 2	34.35	48
1 0 4	35.42	77
1 1 4	42.12	77
2 0 0	45.00	58

Cell and atoms:
```
data_Ho4Fe5Si3
_chemical_formula_sum 'Ho4 Fe5 Si3'
_space_group_name_H-M_alt 'P 4 m m'
_space_group_IT_number 99
_cell_length_a 4.029
_cell_length_b 4.029
_cell_length_c 13.041
_cell_angle_alpha 90.00
_cell_angle_beta 90.00
_cell_angle_gamma 90.00
loop_
_space_group_symop_operation_xyz
'x,y,z'
'-y,x,z'
'-x,-y,z'
'y,-x,z'
'-x,y,z'
'y,x,z'
'x,-y,z'
'-y,-x,z'
loop_
_atom_site_label
_atom_site_type_symbol
_atom_site_fract_x
_atom_site_fract_y
_atom_site_fract_z
Ho1 Ho 0.000 0.000 0.000
Ho2 Ho 0.000 0.000 0.494
Ho3 Ho 0.500 0.500 0.316
Ho4 Ho 0.500 0.500 0.815
Fe1 Fe 0.000 0.500 0.157
Fe2 Fe 0.000 0.500 0.656
Fe3 Fe 0.500 0.500 0.561
Si1 Si 0.000 0.000 0.245
Si2 Si 0.000 0.000 0.749
Si3 Si 0.500 0.500 0.066
```